[1]
# Cs3ZrTe4
Computed powder diffraction line list, Cu Ka. Input: a structure optimized by DFT (GGA-PBE).
Intensities are scaled so that the largest is 1000.

Main lines, in order of rising 2θ (10° ≤ 2θ ≤ 80°):
d 4.332, I = 513
d 4.180, I = 811
d 3.986, I = 1000
d 3.566, I = 325
d 3.385, I = 276
d 3.358, I = 322
d 3.155, I = 676
d 3.058, I = 748
d 2.885, I = 775
d 2.455, I = 510
d 1.907, I = 253
d 1.839, I = 737

Atomic structure:
```
8
Lattice="-3.3851 7.9718 3.9867 3.3851 -7.9718 3.9867 3.3851 7.9718 -3.9867" Properties=species:S:1:pos:R:3 pbc="T T T"
Cs 0.0000 0.0000 0.0000
Cs 0.0000 4.5528 1.1933
Cs 0.0000 11.3907 1.1933
Zr 3.3851 0.0000 2.4125
Te 3.3851 2.3470 0.9700
Te 1.8162 7.9718 0.4821
Te 1.5689 0.0000 4.4687
Te 0.0000 5.6248 4.9567
```

[2]
# RbLi4Nd3Br12
Computed powder diffraction line list, Cu Ka. Input: a structure optimized by DFT (GGA-PBE).
Intensities are scaled so that the largest is 1000.

Main lines, in order of rising 2θ (10° ≤ 2θ ≤ 80°):
d 7.890, I = 558
d 5.643, I = 219
d 4.590, I = 302
d 4.037, I = 254
d 3.021, I = 1000
d 2.991, I = 157
d 2.630, I = 167
d 2.399, I = 199
d 2.189, I = 199
d 2.088, I = 348
d 1.972, I = 235
d 1.819, I = 223

Atomic structure:
```
20
Lattice="7.8897 4.5551 3.3360 -7.8897 4.5551 3.3360 0.0000 -9.1103 3.3360" Properties=species:S:1:pos:R:3 pbc="T T T"
Rb 0.0000 0.0000 0.0000
Li -3.2636 -5.6527 5.0040
Li 0.0000 0.0000 5.0040
Li -3.2636 5.6528 5.0040
Li 6.5272 0.0000 5.0040
Nd -4.5641 -1.2050 3.3360
Nd -4.5641 1.2050 6.6720
Nd 1.2385 4.5551 3.3360
Br -4.7135 -3.6360 4.9856
Br -6.7178 0.0000 5.0040
Br -0.7921 -5.9000 5.0224
Br -4.7135 3.6360 5.0224
Br -2.4195 0.0000 5.0040
Br 3.3589 -5.8178 5.0040
Br 1.2098 -2.0954 5.0040
Br 1.2098 2.0954 5.0040
Br -0.7921 5.9000 4.9856
Br 5.5056 -2.2640 4.9856
Br 3.3589 5.8178 5.0040
Br 5.5056 2.2640 5.0224
```

[3]
# La3ScPb2
Computed powder diffraction line list, Cu Ka. Input: a structure optimized by DFT (GGA-PBE).
Intensities are scaled so that the largest is 1000.

Main lines, in order of rising 2θ (10° ≤ 2θ ≤ 80°):
d 4.407, I = 405
d 4.151, I = 384
d 3.347, I = 416
d 3.308, I = 430
d 3.129, I = 428
d 3.097, I = 421
d 2.938, I = 429
d 2.665, I = 849
d 2.645, I = 869
d 2.491, I = 755
d 2.353, I = 1000
d 1.650, I = 390

Atomic structure:
```
12
Lattice="-3.3475 8.8095 3.3077 3.3475 -8.8095 3.3077 3.3475 8.8095 -3.3077" Properties=species:S:1:pos:R:3 pbc="T T T"
La 1.6218 3.0906 0.0000
La 0.0000 0.0000 1.6539
La 1.6218 -3.0906 3.3077
La 1.7256 11.9001 0.0000
La 0.0000 0.0000 4.9616
La 1.7256 5.7189 3.3077
Sc 3.3475 0.0000 1.6539
Sc 0.0000 8.8095 1.6539
Pb 4.8817 2.3212 0.0000
Pb 1.5343 6.4883 0.0000
Pb 1.8132 2.3212 3.3077
Pb -1.5343 6.4883 3.3077
```